[1]
The following is a theoretical powder X-ray diffraction pattern of Tl2In9Sn4. It was derived from a DFT-relaxed cell (GGA-PBE, Alexandria), using copper Kα.

Peak list (10 most intense, 10° ≤ 2θ ≤ 90°, in order of rising 2θ)
two_theta, I (rel.)
24.17, 18
30.27, 79
33.88, 46
35.00, 100
46.93, 24
49.50, 16
59.87, 27
62.06, 16
62.77, 18
81.93, 13

Lattice parameters (Å, degrees): 5.1279 5.1279 19.7704 90.00 90.00 120.00
Space group P-3m1 (No. 164)
Asymmetric unit:
Tl1 0.3333 0.6667 0.2564 [2 per cell]
In1 0.0000 0.0000 0.0000 [1 per cell]
In2 0.0000 0.0000 0.1785 [2 per cell]
In3 0.0000 0.0000 0.3419 [2 per cell]
In4 0.3333 0.6667 0.0573 [2 per cell]
In5 0.3333 0.6667 0.4536 [2 per cell]
Sn1 0.3333 0.6667 0.6118 [2 per cell]
Sn2 0.3333 0.6667 0.8750 [2 per cell]


[2]
The following is a theoretical powder X-ray diffraction pattern of Tl6In7Sn. It was derived from a DFT-relaxed cell (GGA-PBE, Alexandria), using copper Kα.

Peak list (10 most intense, 10° ≤ 2θ ≤ 90°, in order of rising 2θ)
two_theta, I (rel.)
27.55, 56
28.77, 72
30.07, 66
30.24, 45
31.08, 46
31.75, 26
32.54, 25
33.73, 23
33.97, 100
36.95, 63

Lattice parameters (Å, degrees): 23.896 11.863 5.977 90.00 95.79 90.00
Space group C2/m (No. 12)
Asymmetric unit:
Tl1 0.105 0.000 0.331 [4 per cell]
Tl2 0.114 0.500 0.844 [4 per cell]
Tl3 0.125 0.325 0.377 [8 per cell]
Tl4 0.134 0.181 0.862 [8 per cell]
In1 0.000 0.223 0.500 [4 per cell]
In2 0.023 0.500 0.268 [4 per cell]
In3 0.034 0.000 0.790 [4 per cell]
In4 0.229 0.131 0.388 [8 per cell]
In5 0.230 0.371 0.092 [8 per cell]
Sn1 0.000 0.268 0.000 [4 per cell]


[3]
The following is a theoretical powder X-ray diffraction pattern of Tl3InSn4. It was derived from a DFT-relaxed cell (GGA-PBE, Alexandria), using copper Kα.

Peak list (10 most intense, 10° ≤ 2θ ≤ 90°, in order of rising 2θ)
two_theta, I (rel.)
29.59, 97
30.30, 48
30.43, 43
30.97, 26
31.46, 63
31.97, 100
33.37, 67
34.28, 53
37.19, 38
44.12, 67

Lattice parameters (Å, degrees): 24.281 5.599 3.472 90.00 95.97 90.00
Space group C2/m (No. 12)
Asymmetric unit:
Tl1 0.000 0.000 0.000 [2 per cell]
Tl2 0.132 0.000 0.600 [4 per cell]
In1 0.000 0.500 0.500 [2 per cell]
Sn1 0.112 0.500 0.093 [4 per cell]
Sn2 0.237 0.500 0.188 [4 per cell]